# 1
The following is a computed PXRD pattern of SmZr4O9. It was derived from a PBE-relaxed structure, using Cu Kα (weighted mean of Kα1 and Kα2).
Lines closer than 0.1° are merged.

Structural model:
Unit cell a=3.5676 b=18.8510 c=5.2395 alpha=90.00 beta=90.00 gamma=90.00
Space group Imm2 (No. 44)
One atom of each set of equivalent atoms:
Sm: 0.0000 0.0000 0.0000 (multiplicity 2)
Zr: 0.0000 0.1976 0.0286 (multiplicity 4)
Zr: 0.0000 0.3908 0.0313 (multiplicity 4)
O: 0.0000 0.0976 0.2785 (multiplicity 4)
O: 0.0000 0.1072 0.7779 (multiplicity 4)
O: 0.0000 0.2970 0.2761 (multiplicity 4)
O: 0.0000 0.2994 0.7763 (multiplicity 4)
O: 0.0000 0.5000 0.1184 (multiplicity 2)

Peak list (6 most intense, 2θ from 15° to 90°, by angle)
h k l	2θ/deg	I/Imax
0 5 1	29.18	96
1 0 1	30.31	100
1 5 0	34.61	32
1 5 2	49.48	70
1 10 1	58.07	27
2 5 1	60.03	24

---

# 2
The following is a computed PXRD pattern of LuCu2. It was derived from a PBE-relaxed structure, using Cu Kα (weighted mean of Kα1 and Kα2).
Lines closer than 0.1° are merged.

Structural model:
Unit cell a=4.2237 b=6.6715 c=7.1924 alpha=90.00 beta=90.00 gamma=90.00
Space group Imma (No. 74)
One atom of each set of equivalent atoms:
Lu: 0.0000 0.2500 0.0421 (multiplicity 4)
Cu: 0.0000 0.0495 0.6643 (multiplicity 8)

Peak list (6 most intense, 2θ from 15° to 90°, by angle)
h k l	2θ/deg	I/Imax
1 0 1	24.44	25
1 1 2	35.44	33
1 2 1	36.53	100
0 2 2	36.75	40
2 0 0	42.82	31
1 0 3	43.40	41

---

# 3
The following is a computed PXRD pattern of Cs2CdBi2S5. It was derived from a PBE-relaxed structure, using Cu Kα (weighted mean of Kα1 and Kα2).
Lines closer than 0.1° are merged.

Structural model:
Unit cell a=16.0927 b=4.2302 c=18.7698 alpha=90.00 beta=90.00 gamma=90.00
Space group Pnma (No. 62)
One atom of each set of equivalent atoms:
Cs: 0.0066 0.2500 0.1270 (multiplicity 4)
Cs: 0.0348 0.7500 0.3875 (multiplicity 4)
Cd: 0.2115 0.2500 0.8545 (multiplicity 4)
Bi: 0.2079 0.7500 0.6954 (multiplicity 4)
Bi: 0.2449 0.7500 0.0183 (multiplicity 4)
S: 0.1063 0.2500 0.7490 (multiplicity 4)
S: 0.1377 0.2500 0.9758 (multiplicity 4)
S: 0.1392 0.7500 0.5615 (multiplicity 4)
S: 0.1829 0.7500 0.1471 (multiplicity 4)
S: 0.2004 0.2500 0.3383 (multiplicity 4)

Peak list (6 most intense, 2θ from 15° to 90°, by angle)
h k l	2θ/deg	I/Imax
2 0 4	21.93	40
4 0 0	22.09	43
1 1 3	26.02	72
3 1 2	28.51	100
3 1 3	30.47	37
0 2 0	42.75	37

---

# 4
The following is a computed PXRD pattern of CeBeSiHO5. It was derived from a PBE-relaxed structure, using Cu Kα (weighted mean of Kα1 and Kα2).
Lines closer than 0.1° are merged.

Structural model:
Unit cell a=5.5202 b=7.6877 c=8.5875 alpha=90.00 beta=101.99 gamma=90.00
Space group P2_1/c (No. 14)
One atom of each set of equivalent atoms:
Ce: 0.0123 0.1236 0.3190 (multiplicity 4)
Be: 0.3991 0.6004 0.5498 (multiplicity 4)
Si: 0.4654 0.2008 0.6706 (multiplicity 4)
H: 0.0136 0.0859 0.9665 (multiplicity 4)
O: 0.1076 0.6481 0.4860 (multiplicity 4)
O: 0.2337 0.0823 0.5832 (multiplicity 4)
O: 0.2558 0.6222 0.8009 (multiplicity 4)
O: 0.4131 0.2371 0.8484 (multiplicity 4)
O: 0.4801 0.0971 0.1075 (multiplicity 4)

Peak list (6 most intense, 2θ from 15° to 90°, by angle)
h k l	2θ/deg	I/Imax
1 0 0	16.42	57
0 0 2	21.13	45
0 2 1	25.48	49
1 2 -1	29.21	100
1 2 1	31.67	38
2 2 -1	40.41	44

---

# 5
The following is a computed PXRD pattern of LiSnP4O12. It was derived from a PBE-relaxed structure, using Cu Kα (weighted mean of Kα1 and Kα2).
Lines closer than 0.1° are merged.

Structural model:
Unit cell a=12.1910 b=8.6394 c=10.3195 alpha=90.00 beta=119.30 gamma=90.00
Space group C2/c (No. 15)
One atom of each set of equivalent atoms:
Li: 0.2500 0.2500 0.0000 (multiplicity 4)
Sn: 0.0000 0.0500 0.7500 (multiplicity 4)
P: 0.0082 0.2732 0.4785 (multiplicity 8)
P: 0.1949 0.4933 0.6983 (multiplicity 8)
O: 0.0372 0.1340 0.4140 (multiplicity 8)
O: 0.0493 0.2475 0.9215 (multiplicity 8)
O: 0.0786 0.3881 0.1542 (multiplicity 8)
O: 0.1366 0.3681 0.5637 (multiplicity 8)
O: 0.2072 0.0805 0.8256 (multiplicity 8)
O: 0.2296 0.4228 0.8429 (multiplicity 8)

Peak list (6 most intense, 2θ from 15° to 90°, by angle)
h k l	2θ/deg	I/Imax
2 0 0	16.68	49
1 1 -2	20.09	88
3 1 -2	25.35	71
3 1 0	27.20	54
0 2 2	28.64	100
1 1 -4	38.08	29

---

# 6
The following is a computed PXRD pattern of Li3Ti6Zn3O16. It was derived from a PBE-relaxed structure, using Cu Kα (weighted mean of Kα1 and Kα2).
Lines closer than 0.1° are merged.

Structural model:
Unit cell a=8.4718 b=8.4704 c=8.4741 alpha=90.00 beta=90.07 gamma=90.00
Space group P2_1 (No. 4)
One atom of each set of equivalent atoms:
Li: 0.1252 0.0000 0.1250 (multiplicity 2)
Li: 0.2480 0.1268 0.5018 (multiplicity 2)
Li: 0.3747 0.7497 0.6245 (multiplicity 2)
Ti: 0.1197 0.2495 0.8772 (multiplicity 2)
Ti: 0.1204 0.5026 0.6295 (multiplicity 2)
Ti: 0.1282 0.7584 0.3765 (multiplicity 2)
Ti: 0.3692 0.9943 0.8722 (multiplicity 2)
Ti: 0.3739 0.2436 0.1356 (multiplicity 2)
Ti: 0.3849 0.4979 0.3832 (multiplicity 2)
Zn: 0.0022 0.3755 0.2522 (multiplicity 2)
Zn: 0.2509 0.6238 0.0014 (multiplicity 2)
Zn: 0.4994 0.3726 0.7507 (multiplicity 2)
O: 0.1080 0.7482 0.1384 (multiplicity 2)
O: 0.1081 0.9806 0.3763 (multiplicity 2)
O: 0.1109 0.2631 0.6388 (multiplicity 2)
O: 0.1236 0.7323 0.6109 (multiplicity 2)
O: 0.1274 0.4860 0.8578 (multiplicity 2)
O: 0.1379 0.5123 0.3876 (multiplicity 2)
O: 0.1398 0.2522 0.1072 (multiplicity 2)
O: 0.1419 0.0132 0.8724 (multiplicity 2)
O: 0.3568 0.7337 0.3724 (multiplicity 2)
O: 0.3611 0.4975 0.6072 (multiplicity 2)
O: 0.3632 0.2377 0.8871 (multiplicity 2)
O: 0.3733 0.2674 0.3556 (multiplicity 2)
O: 0.3780 0.0173 0.1101 (multiplicity 2)
O: 0.3865 0.4875 0.1363 (multiplicity 2)
O: 0.3895 0.7670 0.8781 (multiplicity 2)
O: 0.3949 0.0017 0.6423 (multiplicity 2)

Peak list (6 most intense, 2θ from 15° to 90°, by angle)
h k l	2θ/deg	I/Imax
2 0 -1	23.48	20
2 2 0	29.83	44
1 1 3	35.13	100
2 2 4	52.95	16
5 1 -1	56.44	38
4 0 -4	61.96	48